1.
Structure and theoretical powder diffraction line list of NiHS (a cell relaxed with GGA-PBE; λ = 1.5418 Å (Cu Kα)).
Lines closer than 0.1° are merged.

Structure:
```
data_NiHS
_chemical_formula_sum 'Ni2 H2 S2'
_cell_length_a 3.4398
_cell_length_b 3.4326
_cell_length_c 5.9012
_cell_angle_alpha 90.00
_cell_angle_beta 90.17
_cell_angle_gamma 90.00
_space_group_name_H-M_alt 'P 1 2/m 1'
_space_group_IT_number 10
_space_group_name_Hall '-P 2y'
loop_
_atom_site_label
_atom_site_type_symbol
_atom_site_fract_x
_atom_site_fract_y
_atom_site_fract_z
Ni1 Ni 0.0000 0.0000 0.0000
Ni2 Ni 0.5000 0.5000 0.5000
H1 H 0.0519 0.5000 0.9344
S1 S 0.4996 0.0000 0.2618
```

Principal peaks in the range 10° ≤ 2θ ≤ 90°, sorted by position:
- 25.9 deg, rel. 18, (1 0 0)
- 30.1 deg, rel. 100, (1 0 1)
- 40.3 deg, rel. 8, (0 1 2)
- 48.5 deg, rel. 27, (1 1 -2)
- 48.6 deg, rel. 27, (1 1 2)
- 53.3 deg, rel. 10, (2 0 0)
- 53.4 deg, rel. 10, (0 2 0)
- 53.7 deg, rel. 15, (0 1 3)
- 62.4 deg, rel. 11, (2 1 1)
- 62.5 deg, rel. 12, (1 2 1)



2.
Structure and theoretical powder diffraction line list of Ac2Ge5Rh (a cell relaxed with GGA-PBE; λ = 1.5418 Å (Cu Kα)).
Lines closer than 0.1° are merged.

Structure:
```
data_Ac2Ge5Rh
_chemical_formula_sum 'Ac4 Ge10 Rh2'
_cell_length_a 6.1070
_cell_length_b 6.1070
_cell_length_c 10.3681
_cell_angle_alpha 90.00
_cell_angle_beta 90.00
_cell_angle_gamma 90.00
_space_group_name_H-M_alt 'I 4 m m'
_space_group_IT_number 107
_space_group_name_Hall 'I 4 -2'
loop_
_atom_site_label
_atom_site_type_symbol
_atom_site_fract_x
_atom_site_fract_y
_atom_site_fract_z
Ac1 Ac 0.0000 0.5000 0.0000
Ge1 Ge 0.0000 0.0000 0.0854
Ge2 Ge 0.2280 0.2280 0.2587
Rh1 Rh 0.0000 0.0000 0.6775
```

Principal peaks in the range 10° ≤ 2θ ≤ 90°, sorted by position:
- 20.6 deg, rel. 21, (1 1 0)
- 26.9 deg, rel. 87, (1 1 2)
- 34.1 deg, rel. 100, (2 0 2)
- 34.6 deg, rel. 20, (0 0 4)
- 40.6 deg, rel. 30, (1 1 4)
- 41.8 deg, rel. 44, (2 2 0)
- 50.4 deg, rel. 29, (3 1 2)
- 55.4 deg, rel. 20, (2 2 4)
- 59.7 deg, rel. 22, (3 1 4)
- 71.4 deg, rel. 21, (4 2 2)



3.
Structure and theoretical powder diffraction line list of Mg3Sn5Cl16 (a cell relaxed with GGA-PBE; λ = 1.5418 Å (Cu Kα)).
Lines closer than 0.1° are merged.

Structure:
```
data_Mg3Sn5Cl16
_chemical_formula_sum 'Mg6 Sn10 Cl32'
_cell_length_a 14.2776
_cell_length_b 7.8260
_cell_length_c 13.3183
_cell_angle_alpha 90.00
_cell_angle_beta 93.55
_cell_angle_gamma 90.00
_space_group_name_H-M_alt 'C 1 m 1'
_space_group_IT_number 8
_space_group_name_Hall 'C -2y'
loop_
_atom_site_label
_atom_site_type_symbol
_atom_site_fract_x
_atom_site_fract_y
_atom_site_fract_z
Mg1 Mg 0.0000 0.0000 0.0000
Mg2 Mg 0.4218 0.2512 0.4935
Sn1 Sn 0.1563 0.0000 0.2545
Sn2 Sn 0.1818 0.5000 0.4958
Sn3 Sn 0.2550 0.2516 0.9945
Sn4 Sn 0.4949 0.0000 0.7435
Cl1 Cl 0.0589 0.2579 0.6224
Cl2 Cl 0.0798 0.2236 0.1170
Cl3 Cl 0.1359 0.0000 0.8877
Cl4 Cl 0.1813 0.5000 0.8631
Cl5 Cl 0.2684 0.2603 0.3888
Cl6 Cl 0.3135 0.0000 0.1505
Cl7 Cl 0.3501 0.0000 0.6005
Cl8 Cl 0.3521 0.5000 0.6007
Cl9 Cl 0.3561 0.5000 0.1097
Cl10 Cl 0.4177 0.2649 0.8987
Cl11 Cl 0.4832 0.0000 0.3964
Cl12 Cl 0.4892 0.5000 0.4025
```

Principal peaks in the range 10° ≤ 2θ ≤ 90°, sorted by position:
- 13.3 deg, rel. 62, (0 0 2)
- 14.4 deg, rel. 72, (1 1 -1)
- 14.5 deg, rel. 69, (2 0 1)
- 14.7 deg, rel. 100, (1 1 1)
- 18.8 deg, rel. 67, (2 0 2)
- 26.3 deg, rel. 51, (3 1 2)
- 29.7 deg, rel. 57, (2 2 2)
- 32.5 deg, rel. 52, (2 2 -3)
- 33.5 deg, rel. 88, (2 2 3)
- 44.6 deg, rel. 82, (6 2 0)



4.
Structure and theoretical powder diffraction line list of HfNb2AlB (a cell relaxed with GGA-PBE; λ = 1.5418 Å (Cu Kα)).
Lines closer than 0.1° are merged.

Structure:
```
data_HfNb2AlB
_chemical_formula_sum 'Hf1 Nb2 Al1 B1'
_cell_length_a 4.8936
_cell_length_b 4.8936
_cell_length_c 5.0688
_cell_angle_alpha 90.00
_cell_angle_beta 90.00
_cell_angle_gamma 90.00
_space_group_name_H-M_alt 'P 4/m m m'
_space_group_IT_number 123
_space_group_name_Hall '-P 4 2'
loop_
_atom_site_label
_atom_site_type_symbol
_atom_site_fract_x
_atom_site_fract_y
_atom_site_fract_z
Hf1 Hf 0.0000 0.0000 0.0000
Nb1 Nb 0.0000 0.5000 0.0000
Al1 Al 0.0000 0.0000 0.5000
B1 B 0.5000 0.5000 0.5000
```

Principal peaks in the range 10° ≤ 2θ ≤ 90°, sorted by position:
- 17.5 deg, rel. 100, (0 0 1)
- 18.1 deg, rel. 63, (1 0 0)
- 25.3 deg, rel. 37, (1 0 1)
- 35.4 deg, rel. 26, (0 0 2)
- 36.7 deg, rel. 46, (2 0 0)
- 40.1 deg, rel. 17, (1 0 2)
- 41.0 deg, rel. 47, (2 0 1)
- 51.9 deg, rel. 34, (2 0 2)
- 56.2 deg, rel. 19, (2 2 1)
- 65.3 deg, rel. 17, (2 2 2)